Entry 1:
Starting from DFT lattice parameters and positions (GGA-PBE), the PXRD pattern of Hg3Bi2Te2Cl8 was computed for copper Kα.

Structural model:
```
data_Hg3Bi2Te2Cl8
_chemical_formula_sum 'Hg12 Bi8 Te8 Cl32'
_cell_length_a 18.0040
_cell_length_b 7.8308
_cell_length_c 13.7102
_cell_angle_alpha 90.00
_cell_angle_beta 104.53
_cell_angle_gamma 90.00
_space_group_name_H-M_alt 'C 1 2/c 1'
_space_group_IT_number 15
loop_
_space_group_symop_operation_xyz
'x,y,z'
'-x,-y,-z'
'-x,y,-z+1/2'
'x,-y,z+1/2'
'x+1/2,y+1/2,z'
'-x+1/2,-y+1/2,-z'
'-x+1/2,y+1/2,-z+1/2'
'x+1/2,-y+1/2,z+1/2'
loop_
_atom_site_label
_atom_site_type_symbol
_atom_site_fract_x
_atom_site_fract_y
_atom_site_fract_z
Hg1 Hg 0.2489 0.0125 0.2550
Hg2 Hg 0.2500 0.2500 0.0000
Bi1 Bi 0.0397 0.2338 0.4378
Te1 Te 0.1652 0.2449 0.8061
Cl1 Cl 0.0012 0.1072 0.6130
Cl2 Cl 0.1003 0.4757 0.0348
Cl3 Cl 0.1005 0.2740 0.2779
Cl4 Cl 0.1720 0.1075 0.5243
```

Top 10 peaks for 5° ≤ 2θ ≤ 70°, low angle first:
hkl 2 0 0, 10.2°, rel. 25; hkl 2 0 2, 18.7°, rel. 54; hkl 3 1 -1, 18.8°, rel. 100; hkl 4 0 0, 20.4°, rel. 27; hkl 0 2 2, 26.4°, rel. 26; hkl 2 2 -2, 27.1°, rel. 30; hkl 4 2 -2, 31.4°, rel. 35; hkl 6 0 -4, 35.7°, rel. 71; hkl 6 2 -2, 38.2°, rel. 26; hkl 2 2 -6, 46.0°, rel. 33



Entry 2:
Starting from DFT lattice parameters and positions (GGA-PBE), the PXRD pattern of BiI2Cl was computed for copper Kα.

Structural model:
```
data_BiI2Cl
_chemical_formula_sum 'Bi2 I4 Cl2'
_cell_length_a 8.8851
_cell_length_b 12.3668
_cell_length_c 3.9969
_cell_angle_alpha 90.00
_cell_angle_beta 116.68
_cell_angle_gamma 90.00
_space_group_name_H-M_alt 'C 1 m 1'
_space_group_IT_number 8
loop_
_space_group_symop_operation_xyz
'x,y,z'
'x,-y,z'
'x+1/2,y+1/2,z'
'x+1/2,-y+1/2,z'
loop_
_atom_site_label
_atom_site_type_symbol
_atom_site_fract_x
_atom_site_fract_y
_atom_site_fract_z
Bi1 Bi 0.0000 0.0000 0.0000
I1 I 0.3454 0.3342 0.3427
Cl1 Cl 0.2503 0.0000 0.7460
```

Top 10 peaks for 5° ≤ 2θ ≤ 70°, low angle first:
hkl 1 1 0, 13.3°, rel. 100; hkl 1 3 0, 24.3°, rel. 20; hkl 2 2 0, 26.7°, rel. 14; hkl 2 2 -1, 28.9°, rel. 40; hkl 1 3 -1, 31.2°, rel. 29; hkl 1 1 1, 32.6°, rel. 29; hkl 2 4 -1, 38.5°, rel. 19; hkl 3 3 -1, 38.7°, rel. 14; hkl 3 3 0, 40.5°, rel. 17; hkl 2 0 1, 40.9°, rel. 17



Entry 3:
Starting from DFT lattice parameters and positions (GGA-PBE), the PXRD pattern of Bi2TeIClO8 was computed for copper Kα.

Structural model:
```
data_Bi2TeIClO8
_chemical_formula_sum 'Bi16 Te8 I8 Cl8 O64'
_cell_length_a 22.1596
_cell_length_b 5.3896
_cell_length_c 15.3311
_cell_angle_alpha 90.00
_cell_angle_beta 104.17
_cell_angle_gamma 90.00
_space_group_name_H-M_alt 'C 1 c 1'
_space_group_IT_number 9
loop_
_space_group_symop_operation_xyz
'x,y,z'
'x,-y,z+1/2'
'x+1/2,y+1/2,z'
'x+1/2,-y+1/2,z+1/2'
loop_
_atom_site_label
_atom_site_type_symbol
_atom_site_fract_x
_atom_site_fract_y
_atom_site_fract_z
Bi1 Bi 0.0000 0.1267 0.0000
Bi2 Bi 0.0341 0.2154 0.2633
Bi3 Bi 0.2995 0.1965 0.6575
Bi4 Bi 0.3331 0.1289 0.9156
Te1 Te 0.3976 0.3189 0.2929
Te2 Te 0.4392 0.1809 0.1188
I1 I 0.1417 0.2443 0.7184
I2 I 0.1739 0.2949 0.0226
Cl1 Cl 0.0601 0.3912 0.4452
Cl2 Cl 0.2759 0.4385 0.4594
O1 O 0.0107 0.0944 0.6464
O2 O 0.1146 0.1338 0.0677
O3 O 0.1157 0.0581 0.8057
O4 O 0.1301 0.4541 0.2655
O5 O 0.1996 0.4804 0.6141
O6 O 0.2254 0.1829 0.7606
O7 O 0.2351 0.0576 0.0517
O8 O 0.3249 0.1119 0.2595
O9 O 0.3511 0.3880 0.8049
O10 O 0.3640 0.0051 0.5739
O11 O 0.3913 0.4439 0.1685
O12 O 0.4118 0.1692 0.4108
O13 O 0.4217 0.3233 0.9988
O14 O 0.4477 0.0565 0.2434
O15 O 0.4768 0.4836 0.3399
O16 O 0.4937 0.0895 0.6090
```

Top 10 peaks for 5° ≤ 2θ ≤ 70°, low angle first:
hkl 2 0 0, 8.2°, rel. 57; hkl 3 1 -1, 20.6°, rel. 56; hkl 3 1 1, 22.3°, rel. 35; hkl 1 1 -3, 24.0°, rel. 32; hkl 3 1 -3, 25.3°, rel. 37; hkl 5 1 -1, 26.0°, rel. 100; hkl 2 0 4, 27.2°, rel. 30; hkl 3 1 3, 29.4°, rel. 36; hkl 1 1 -5, 33.8°, rel. 37; hkl 4 2 3, 43.5°, rel. 29



Q: Which formula does entry 2 have?
A: BiI2Cl